Calculated powder X-ray diffraction pattern of RbTi5Se8 for Cu Ka, from a crystal structure in the Materials Project, relaxed with PBE.
Kinematic intensities with the Lorentz-polarization factor, no thermal factor.

Main lines, in order of falling intensity (2θ from 10° to 90°):
- 31.4 deg, I = 100
- 32.7 deg, I = 59
- 49.9 deg, I = 49
- 30.9 deg, I = 47
- 38.9 deg, I = 40
- 30.0 deg, I = 29
- 50.0 deg, I = 26
- 33.2 deg, I = 24

Atomic structure:
abc: 9.6845 9.6845 9.2387
angles: 104.46 104.46 21.71
Sites, in units of the cell vectors:
Rb: 0.0000 0.0000 0.0000
Ti: 0.1575 0.1575 0.5021
Ti: 0.2079 0.2079 0.8471
Ti: 0.5000 0.5000 0.5000
Ti: 0.7921 0.7921 0.1529
Ti: 0.8425 0.8425 0.4979
Se: 0.0740 0.0740 0.6739
Se: 0.2559 0.2559 0.3327
Se: 0.3382 0.3382 0.0021
Se: 0.4115 0.4115 0.6735
Se: 0.5885 0.5885 0.3265
Se: 0.6618 0.6618 0.9979
Se: 0.7441 0.7441 0.6673
Se: 0.9260 0.9260 0.3261



Calculated powder X-ray diffraction pattern of HfMo for Cu Ka, from a crystal structure in the Materials Project, relaxed with PBE.
Kinematic intensities with the Lorentz-polarization factor, no thermal factor.

Main lines, in order of falling intensity (2θ from 10° to 90°):
- 38.3 deg, I = 100
- 36.3 deg, I = 29
- 40.6 deg, I = 21
- 66.7 deg, I = 19
- 55.6 deg, I = 17
- 72.3 deg, I = 15
- 82.0 deg, I = 11
- 20.0 deg, I = 10

Atomic structure:
abc: 2.9843 2.9843 4.4470
angles: 90.00 90.00 111.89
Sites, in units of the cell vectors:
Hf: 0.0000 0.0000 0.0000
Mo: 0.5000 0.5000 0.5000



Calculated powder X-ray diffraction pattern of CaMnBi2 for Cu Ka, from a crystal structure in the Materials Project, relaxed with PBE.
Kinematic intensities with the Lorentz-polarization factor, no thermal factor.

Main lines, in order of falling intensity (2θ from 10° to 90°):
- 32.3 deg, I = 100
- 29.0 deg, I = 61
- 25.5 deg, I = 48
- 43.4 deg, I = 42
- 24.4 deg, I = 40
- 21.2 deg, I = 31
- 39.7 deg, I = 26
- 39.6 deg, I = 25

Atomic structure:
abc: 4.5505 4.5384 10.9520
angles: 90.00 90.01 90.00
Sites, in units of the cell vectors:
Ca: 0.2504 0.2500 0.2391
Ca: 0.7496 0.7500 0.7609
Mn: 0.2502 0.7500 0.4996
Mn: 0.7498 0.2500 0.5004
Bi: 0.2327 0.7500 0.9995
Bi: 0.2504 0.2500 0.6560
Bi: 0.7496 0.7500 0.3440
Bi: 0.7673 0.2500 0.0005



Calculated powder X-ray diffraction pattern of TcSbO2F8 for Cu Ka, from a crystal structure in the Materials Project, relaxed with PBE.
Kinematic intensities with the Lorentz-polarization factor, no thermal factor.

Main lines, in order of falling intensity (2θ from 10° to 90°):
- 22.0 deg, I = 100
- 18.3 deg, I = 61
- 22.6 deg, I = 60
- 17.4 deg, I = 55
- 15.3 deg, I = 49
- 22.8 deg, I = 48
- 20.3 deg, I = 45
- 20.1 deg, I = 39

Atomic structure:
abc: 7.5543 10.7321 11.9817
angles: 90.00 125.99 90.00
Sites, in units of the cell vectors:
Tc: 0.0315 0.1728 0.1624
Tc: 0.0315 0.3272 0.6624
Tc: 0.9685 0.6728 0.3376
Tc: 0.9685 0.8272 0.8376
Sb: 0.4043 0.0220 0.6873
Sb: 0.4043 0.4780 0.1873
Sb: 0.5957 0.5220 0.8127
Sb: 0.5957 0.9780 0.3127
O: 0.0258 0.5300 0.3098
O: 0.0258 0.9700 0.8098
O: 0.2117 0.7452 0.4254
O: 0.2117 0.7548 0.9254
O: 0.7883 0.2452 0.0746
O: 0.7883 0.2548 0.5746
O: 0.9742 0.0300 0.1902
O: 0.9742 0.4700 0.6902
F: 0.0534 0.1380 0.0197
F: 0.0534 0.3620 0.5197
F: 0.1641 0.2443 0.3339
F: 0.1641 0.2557 0.8339
F: 0.1905 0.1530 0.6491
F: 0.1905 0.3470 0.1491
F: 0.2054 0.6021 0.1630
F: 0.2054 0.8979 0.6630
F: 0.2805 0.0132 0.4966
F: 0.2805 0.4868 0.9966
F: 0.3871 0.1123 0.2766
F: 0.3871 0.3877 0.7766
F: 0.3938 0.6442 0.7873
F: 0.3938 0.8558 0.2873
F: 0.4716 0.5302 0.6215
F: 0.4716 0.9698 0.1215
F: 0.5284 0.0302 0.8785
F: 0.5284 0.4698 0.3785
F: 0.6062 0.1442 0.7127
F: 0.6062 0.3558 0.2127
F: 0.6129 0.6123 0.2234
F: 0.6129 0.8877 0.7234
F: 0.7195 0.5132 0.0034
F: 0.7195 0.9868 0.5034
F: 0.7946 0.1021 0.3370
F: 0.7946 0.3979 0.8370
F: 0.8095 0.6530 0.8509
F: 0.8095 0.8470 0.3509
F: 0.8359 0.7443 0.1661
F: 0.8359 0.7557 0.6661
F: 0.9466 0.6380 0.4803
F: 0.9466 0.8620 0.9803



Calculated powder X-ray diffraction pattern of SmCd20Ni2 for Cu Ka, from a crystal structure in the Materials Project, relaxed with PBE.
Kinematic intensities with the Lorentz-polarization factor, no thermal factor.

Main lines, in order of falling intensity (2θ from 10° to 90°):
- 33.6 deg, I = 100
- 37.4 deg, I = 64
- 37.9 deg, I = 63
- 67.2 deg, I = 42
- 36.0 deg, I = 36
- 40.9 deg, I = 25
- 49.0 deg, I = 22
- 39.6 deg, I = 20

Atomic structure:
abc: 11.1467 11.1467 11.1467
angles: 60.00 60.00 60.00
Sites, in units of the cell vectors:
Sm: 0.1250 0.1250 0.1250
Sm: 0.8750 0.8750 0.8750
Cd: 0.0000 0.0000 0.0000
Cd: 0.0000 0.0000 0.5000
Cd: 0.0000 0.5000 0.0000
Cd: 0.0562 0.3238 0.3238
Cd: 0.0562 0.3238 0.7962
Cd: 0.0562 0.7962 0.3238
Cd: 0.2038 0.6762 0.6762
Cd: 0.2038 0.6762 0.9438
Cd: 0.2038 0.9438 0.6762
Cd: 0.2385 0.2385 0.5115
Cd: 0.2385 0.5115 0.2385
Cd: 0.2385 0.5115 0.5115
Cd: 0.3238 0.0562 0.3238
Cd: 0.3238 0.0562 0.7962
Cd: 0.3238 0.3238 0.0562
Cd: 0.3238 0.3238 0.7962
Cd: 0.3238 0.7962 0.0562
Cd: 0.3238 0.7962 0.3238
Cd: 0.4885 0.4885 0.7615
Cd: 0.4885 0.7615 0.4885
Cd: 0.4885 0.7615 0.7615
Cd: 0.5000 0.0000 0.0000
Cd: 0.5115 0.2385 0.2385
Cd: 0.5115 0.2385 0.5115
Cd: 0.5115 0.5115 0.2385
Cd: 0.6762 0.2038 0.6762
Cd: 0.6762 0.2038 0.9438
Cd: 0.6762 0.6762 0.2038
Cd: 0.6762 0.6762 0.9438
Cd: 0.6762 0.9438 0.2038
Cd: 0.6762 0.9438 0.6762
Cd: 0.7615 0.4885 0.4885
Cd: 0.7615 0.4885 0.7615
Cd: 0.7615 0.7615 0.4885
Cd: 0.7962 0.0562 0.3238
Cd: 0.7962 0.3238 0.0562
Cd: 0.7962 0.3238 0.3238
Cd: 0.9438 0.2038 0.6762
Cd: 0.9438 0.6762 0.2038
Cd: 0.9438 0.6762 0.6762
Ni: 0.0000 0.5000 0.5000
Ni: 0.5000 0.0000 0.5000
Ni: 0.5000 0.5000 0.0000
Ni: 0.5000 0.5000 0.5000



Calculated powder X-ray diffraction pattern of Fe2Ni3N4 for Cu Ka, from a crystal structure in the Materials Project, relaxed with PBE.
Kinematic intensities with the Lorentz-polarization factor, no thermal factor.

Main lines, in order of falling intensity (2θ from 10° to 90°):
- 37.6 deg, I = 100
- 36.0 deg, I = 61
- 36.3 deg, I = 55
- 52.3 deg, I = 25
- 52.9 deg, I = 24
- 55.5 deg, I = 24
- 54.1 deg, I = 24
- 52.6 deg, I = 21

Atomic structure:
abc: 5.5848 5.5848 5.5117
angles: 93.07 93.07 76.62
Sites, in units of the cell vectors:
Fe: 0.0620 0.3318 0.3526
Fe: 0.3318 0.0620 0.8526
Fe: 0.6682 0.9380 0.1474
Fe: 0.9380 0.6682 0.6474
Ni: 0.1386 0.8614 0.2500
Ni: 0.2744 0.4957 0.9886
Ni: 0.4957 0.2744 0.4886
Ni: 0.5043 0.7256 0.5114
Ni: 0.7256 0.5043 0.0114
Ni: 0.8614 0.1386 0.7500
N: 0.0701 0.2557 0.0231
N: 0.2201 0.5788 0.4703
N: 0.2557 0.0701 0.5231
N: 0.4212 0.7799 0.0297
N: 0.5788 0.2201 0.9703
N: 0.7443 0.9299 0.4769
N: 0.7799 0.4212 0.5297
N: 0.9299 0.7443 0.9769



Calculated powder X-ray diffraction pattern of TaTi3 for Cu Ka, from a crystal structure in the Materials Project, relaxed with PBE.
Kinematic intensities with the Lorentz-polarization factor, no thermal factor.

Main lines, in order of falling intensity (2θ from 10° to 90°):
- 37.7 deg, I = 100
- 21.5 deg, I = 51
- 43.8 deg, I = 48
- 30.6 deg, I = 43
- 76.4 deg, I = 35
- 63.7 deg, I = 30
- 49.3 deg, I = 25
- 54.4 deg, I = 19

Atomic structure:
abc: 4.1331 4.1331 4.1331
angles: 90.00 90.00 90.00
Sites, in units of the cell vectors:
Ta: 0.0000 0.0000 0.0000
Ti: 0.0000 0.5000 0.5000
Ti: 0.5000 0.0000 0.5000
Ti: 0.5000 0.5000 0.0000



Calculated powder X-ray diffraction pattern of Tc3C4NCl6 for Cu Ka, from a crystal structure in the Materials Project, relaxed with PBE.
Kinematic intensities with the Lorentz-polarization factor, no thermal factor.

Main lines, in order of falling intensity (2θ from 10° to 90°):
- 10.2 deg, I = 100
- 12.3 deg, I = 35
- 15.2 deg, I = 31
- 13.0 deg, I = 21
- 14.0 deg, I = 20
- 28.2 deg, I = 20
- 14.3 deg, I = 19
- 32.1 deg, I = 14

Atomic structure:
abc: 11.6776 11.6921 14.1583
angles: 68.98 65.82 60.22
Sites, in units of the cell vectors:
Tc: 0.0062 0.4024 0.1522
Tc: 0.0607 0.0979 0.3472
Tc: 0.0634 0.6344 0.6740
Tc: 0.1277 0.1348 0.1735
Tc: 0.1985 0.2312 0.3363
Tc: 0.2657 0.2696 0.1634
Tc: 0.7343 0.7304 0.8366
Tc: 0.8015 0.7688 0.6637
Tc: 0.8723 0.8652 0.8265
Tc: 0.9366 0.3656 0.3260
Tc: 0.9393 0.9021 0.6528
Tc: 0.9938 0.5976 0.8478
C: 0.1398 0.1211 0.8411
C: 0.1743 0.1679 0.7289
C: 0.2431 0.0422 0.6846
C: 0.3309 0.1044 0.6964
C: 0.3758 0.6072 0.1891
C: 0.3905 0.6111 0.3446
C: 0.4317 0.6631 0.2336
C: 0.4651 0.4586 0.8139
C: 0.5349 0.5414 0.1861
C: 0.5683 0.3369 0.7664
C: 0.6095 0.3889 0.6554
C: 0.6242 0.3928 0.8109
C: 0.6691 0.8956 0.3036
C: 0.7569 0.9578 0.3154
C: 0.8257 0.8321 0.2711
C: 0.8602 0.8789 0.1589
N: 0.2650 0.0182 0.7943
N: 0.4212 0.5138 0.2895
N: 0.5788 0.4862 0.7105
N: 0.7350 0.9818 0.2057
Cl: 0.0342 0.8916 0.4168
Cl: 0.0509 0.4510 0.3695
Cl: 0.0795 0.7271 0.8732
Cl: 0.1534 0.5059 0.1194
Cl: 0.1525 0.9625 0.1130
Cl: 0.1565 0.3914 0.9173
Cl: 0.1791 0.7732 0.6270
Cl: 0.2703 0.4623 0.6140
Cl: 0.2778 0.9948 0.3803
Cl: 0.3557 0.2210 0.4007
Cl: 0.3702 0.0498 0.1304
Cl: 0.4765 0.2800 0.0989
Cl: 0.5235 0.7200 0.9011
Cl: 0.6298 0.9502 0.8696
Cl: 0.6443 0.7790 0.5993
Cl: 0.7222 0.0052 0.6197
Cl: 0.7297 0.5377 0.3860
Cl: 0.8209 0.2268 0.3730
Cl: 0.8435 0.6086 0.0827
Cl: 0.8475 0.0375 0.8870
Cl: 0.8466 0.4941 0.8806
Cl: 0.9205 0.2729 0.1268
Cl: 0.9491 0.5490 0.6305
Cl: 0.9658 0.1084 0.5832



Calculated powder X-ray diffraction pattern of RbLiO for Cu Ka, from a crystal structure in the Materials Project, relaxed with PBE.
Kinematic intensities with the Lorentz-polarization factor, no thermal factor.

Main lines, in order of falling intensity (2θ from 10° to 90°):
- 32.4 deg, I = 100
- 26.9 deg, I = 100
- 34.7 deg, I = 99
- 38.5 deg, I = 94
- 27.0 deg, I = 53
- 16.6 deg, I = 44
- 49.4 deg, I = 42
- 33.5 deg, I = 40

Atomic structure:
abc: 6.6052 3.5599 9.1175
angles: 90.00 90.00 90.00
Sites, in units of the cell vectors:
Rb: 0.0042 0.2500 0.1770
Rb: 0.4958 0.7500 0.6770
Rb: 0.5042 0.2500 0.3230
Rb: 0.9958 0.7500 0.8230
Li: 0.1024 0.7500 0.5027
Li: 0.3976 0.2500 0.0027
Li: 0.6024 0.7500 0.9973
Li: 0.8976 0.2500 0.4973
O: 0.1892 0.2500 0.5467
O: 0.3108 0.7500 0.0467
O: 0.6892 0.2500 0.9533
O: 0.8108 0.7500 0.4533



Calculated powder X-ray diffraction pattern of MgPb2 for Cu Ka, from a crystal structure in the Materials Project, relaxed with PBE.
Kinematic intensities with the Lorentz-polarization factor, no thermal factor.

Main lines, in order of falling intensity (2θ from 10° to 90°):
- 33.2 deg, I = 100
- 34.5 deg, I = 64
- 31.7 deg, I = 48
- 11.8 deg, I = 40
- 23.7 deg, I = 30
- 28.3 deg, I = 23
- 29.8 deg, I = 23
- 53.9 deg, I = 21

Atomic structure:
abc: 6.8415 6.8415 7.7787
angles: 104.56 104.56 29.56
Sites, in units of the cell vectors:
Mg: 0.1458 0.1458 0.0322
Mg: 0.8542 0.8542 0.9678
Pb: 0.1929 0.1929 0.6506
Pb: 0.4737 0.4737 0.7245
Pb: 0.5263 0.5263 0.2755
Pb: 0.8071 0.8071 0.3494